1.
Structure and simulated powder X-ray diffraction pattern of Dy3Y2Th6 (a DFT-relaxed cell (GGA-PBE, Alexandria); Cu Kα).
Intensities are scaled so that the largest is 100.

The 12 most intense peaks (10° ≤ 2θ ≤ 90°), by intensity:
2theta, I/Imax
30.66, 100.0
35.64, 67.2
30.99, 32.3
60.95, 28.9
51.08, 24.6
51.52, 23.8
60.76, 14.7
61.35, 14.1
63.84, 12.6
83.29, 12.3
86.03, 11.5
86.72, 11.1

Structure:
a b c (Å): 31.806 31.806 31.806
angles (deg): 6.45 6.45 6.45
Element x y z (fractional)
Dy1 0.000 0.000 0.000
Dy2 0.273 0.273 0.273
Dy3 0.727 0.727 0.727
Y1 0.454 0.454 0.454
Y2 0.546 0.546 0.546
Th1 0.090 0.090 0.090
Th2 0.182 0.182 0.182
Th3 0.364 0.364 0.364
Th4 0.636 0.636 0.636
Th5 0.818 0.818 0.818
Th6 0.910 0.910 0.910

2.
Structure and simulated powder X-ray diffraction pattern of Dy6Y4Th (a DFT-relaxed cell (GGA-PBE, Alexandria); Cu Kα).
Intensities are scaled so that the largest is 100.

The 12 most intense peaks (10° ≤ 2θ ≤ 90°), by intensity:
2theta, I/Imax
29.82, 100.0
32.52, 81.7
36.85, 31.9
30.36, 21.9
60.58, 19.9
64.17, 19.0
29.01, 17.3
46.66, 15.2
51.15, 14.1
60.89, 13.5
47.57, 12.1
38.36, 11.9

Structure:
a b c (Å): 8.706 8.706 9.386
angles (deg): 90.00 90.00 90.00
Element x y z (fractional)
Dy1 0.000 0.000 0.165
Dy2 0.000 0.000 0.835
Dy3 0.141 0.346 0.000
Dy4 0.154 0.359 0.500
Dy5 0.346 0.859 0.000
Dy6 0.359 0.846 0.500
Dy7 0.500 0.500 0.335
Dy8 0.500 0.500 0.665
Dy9 0.641 0.154 0.500
Dy10 0.654 0.141 0.000
Dy11 0.846 0.641 0.500
Dy12 0.859 0.654 0.000
Y1 0.149 0.649 0.250
Y2 0.149 0.649 0.750
Y3 0.351 0.149 0.250
Y4 0.351 0.149 0.750
Y5 0.649 0.851 0.250
Y6 0.649 0.851 0.750
Y7 0.851 0.351 0.250
Y8 0.851 0.351 0.750
Th1 0.000 0.000 0.500
Th2 0.500 0.500 0.000

3.
Structure and simulated powder X-ray diffraction pattern of Dy3Y8Th (a DFT-relaxed cell (GGA-PBE, Alexandria); Cu Kα).
Intensities are scaled so that the largest is 100.

The 12 most intense peaks (10° ≤ 2θ ≤ 90°), by intensity:
2theta, I/Imax
32.48, 100.0
31.48, 24.2
28.32, 24.1
60.41, 22.0
56.69, 20.2
50.13, 19.5
61.02, 16.0
42.85, 15.5
82.79, 13.3
16.24, 11.1
87.00, 8.0
22.58, 7.9

Structure:
a b c (Å): 8.486 8.486 8.486
angles (deg): 99.98 95.91 136.37
Element x y z (fractional)
Dy1 0.000 0.000 0.000
Dy2 0.075 0.325 0.750
Dy3 0.575 0.325 0.250
Y1 0.001 0.336 0.336
Y2 0.001 0.665 0.664
Y3 0.086 0.673 0.087
Y4 0.086 0.999 0.413
Y5 0.498 0.331 0.833
Y6 0.498 0.665 0.167
Y7 0.586 0.673 0.587
Y8 0.586 0.999 0.913
Th1 0.502 0.002 0.500

4.
Structure and simulated powder X-ray diffraction pattern of Dy4Y2Th5 (a DFT-relaxed cell (GGA-PBE, Alexandria); Cu Kα).
Intensities are scaled so that the largest is 100.

The 12 most intense peaks (10° ≤ 2θ ≤ 90°), by intensity:
2theta, I/Imax
30.87, 100.0
31.63, 99.9
31.99, 97.2
31.30, 60.3
32.12, 46.0
30.00, 42.9
34.19, 42.2
35.69, 35.1
52.78, 31.3
41.52, 28.6
62.85, 28.6
63.06, 28.4

Structure:
a b c (Å): 8.817 3.469 11.666
angles (deg): 90.00 94.61 90.00
Element x y z (fractional)
Dy1 0.160 0.000 0.401
Dy2 0.296 0.000 0.946
Dy3 0.704 0.000 0.054
Dy4 0.840 0.000 0.599
Y1 0.057 0.500 0.136
Y2 0.943 0.500 0.864
Th1 0.204 0.500 0.673
Th2 0.428 0.500 0.211
Th3 0.500 0.500 0.500
Th4 0.572 0.500 0.789
Th5 0.796 0.500 0.327

5.
Structure and simulated powder X-ray diffraction pattern of DyY4Th5 (a DFT-relaxed cell (GGA-PBE, Alexandria); Cu Kα).
Intensities are scaled so that the largest is 100.

The 12 most intense peaks (10° ≤ 2θ ≤ 90°), by intensity:
2theta, I/Imax
30.42, 100.0
30.66, 90.7
31.22, 83.5
31.90, 82.4
30.25, 63.9
37.74, 35.8
32.16, 35.7
32.38, 32.2
63.32, 27.2
11.25, 26.3
62.59, 24.2
62.92, 22.9

Structure:
a b c (Å): 9.000 9.000 11.223
angles (deg): 107.05 107.05 22.09
Element x y z (fractional)
Dy1 0.000 0.000 0.000
Y1 0.197 0.197 0.090
Y2 0.407 0.407 0.193
Y3 0.593 0.593 0.807
Y4 0.803 0.803 0.910
Th1 0.000 0.000 0.500
Th2 0.302 0.302 0.407
Th3 0.391 0.391 0.704
Th4 0.609 0.609 0.296
Th5 0.698 0.698 0.593

6.
Structure and simulated powder X-ray diffraction pattern of Dy7Y12Th (a DFT-relaxed cell (GGA-PBE, Alexandria); Cu Kα).
Intensities are scaled so that the largest is 100.

The 12 most intense peaks (10° ≤ 2θ ≤ 90°), by intensity:
2theta, I/Imax
30.90, 100.0
32.55, 84.0
32.27, 59.2
30.32, 39.7
30.71, 31.3
38.79, 22.4
53.88, 21.6
34.08, 20.9
53.34, 19.2
52.91, 18.8
33.73, 18.0
10.13, 14.5

Structure:
a b c (Å): 8.737 8.737 8.737
angles (deg): 89.21 89.21 89.21
Element x y z (fractional)
Dy1 0.000 0.000 0.000
Dy2 0.121 0.346 0.451
Dy3 0.346 0.451 0.121
Dy4 0.451 0.121 0.346
Dy5 0.549 0.879 0.654
Dy6 0.654 0.549 0.879
Dy7 0.879 0.654 0.549
Y1 0.003 0.647 0.117
Y2 0.117 0.003 0.647
Y3 0.218 0.633 0.758
Y4 0.242 0.782 0.367
Y5 0.353 0.883 0.997
Y6 0.367 0.242 0.782
Y7 0.633 0.758 0.218
Y8 0.647 0.117 0.003
Y9 0.758 0.218 0.633
Y10 0.782 0.367 0.242
Y11 0.883 0.997 0.353
Y12 0.997 0.353 0.883
Th1 0.500 0.500 0.500